1.
Theoretical X-ray diffraction stick pattern of K6MgBi2O8 for Cu Ka, from DFT lattice parameters and positions (PBE).

Largest 8 diffraction maxima, most intense first, 2θ from 10° to 90°:
2θ (°)  d [Å]  I_rel  index
28.3  3.150  100  0 1 2
16.7  5.316  71  1 0 -1
17.1  5.196  65  1 -1 0
15.6  5.676  53  0 1 -1
27.6  3.231  41  1 1 -2
21.0  4.222  38  0 0 2
26.9  3.318  36  1 0 2
14.2  6.230  33  1 0 0

Atomic structure:
```
K6MgBi2O8
1.0
6.514 0.000 0.000
-1.781 6.361 0.000
-0.439 -2.096 8.435
K Mg Bi O
6 1 2 8
direct
0.000 0.000 0.000
0.006 0.488 0.359
0.052 0.521 0.835
0.401 0.221 0.315
0.550 0.607 0.677
0.589 0.203 0.984
0.283 0.037 0.638
0.518 0.708 0.139
0.827 0.994 0.508
0.014 0.816 0.631
0.184 0.259 0.571
0.271 0.410 0.100
0.313 0.862 0.055
0.578 0.040 0.672
0.634 0.651 0.359
0.703 0.616 0.966
0.737 0.036 0.242
```

2.
Theoretical X-ray diffraction stick pattern of ScPt for Cu Ka, from DFT lattice parameters and positions (PBE).

Largest 8 diffraction maxima, most intense first, 2θ from 10° to 90°:
2θ (°)  d [Å]  I_rel  index
38.5  2.339  100  1 1 0
26.9  3.309  48  1 0 0
69.6  1.351  35  2 1 1
62.8  1.480  20  2 1 0
55.6  1.654  17  2 0 0
47.6  1.910  15  1 1 1
82.5  1.170  11  2 2 0
88.7  1.103  11  3 0 0

Atomic structure:
```
ScPt
1.0
3.309 0.000 0.000
0.000 3.309 0.000
0.000 0.000 3.309
Sc Pt
1 1
direct
0.000 0.000 0.000
0.500 0.500 0.500
```

3.
Theoretical X-ray diffraction stick pattern of BaAlSn for Cu Ka, from DFT lattice parameters and positions (PBE).

Largest 8 diffraction maxima, most intense first, 2θ from 10° to 90°:
2θ (°)  d [Å]  I_rel  index
27.9  3.198  100  1 0 1
38.3  2.348  34  1 1 0
52.6  1.739  28  1 1 2
48.1  1.893  23  2 0 1
63.1  1.474  20  2 1 1
21.9  4.067  18  1 0 0
34.7  2.589  15  0 0 2
58.1  1.589  13  1 0 3

Atomic structure:
```
BaAlSn
1.0
4.697 0.000 0.000
-2.348 4.067 0.000
0.000 0.000 5.177
Ba Al Sn
1 1 1
direct
0.000 0.000 0.000
0.333 0.667 0.500
0.667 0.333 0.500
```